Diffraction record for Sr2Li2NiO4. The powder diffractogram is theoretical, not measured: it uses a cell relaxed with GGA+U and Cu Kα (weighted mean of Kα1 and Kα2).
No peak broadening, texture or thermal motion is included.

Largest 8 diffraction maxima, in order of rising 2θ, 2θ from 5° to 70°:
2θ 25.29, I = 81, hkl -1 1 1
2θ 28.91, I = 50, hkl 1 1 -2
2θ 29.20, I = 99, hkl 1 -1 2
2θ 31.15, I = 100, hkl 1 1 1
2θ 32.22, I = 83, hkl 0 2 -1
2θ 33.59, I = 72, hkl 2 0 0
2θ 33.80, I = 94, hkl 2 0 -1
2θ 33.99, I = 50, hkl 0 0 3

Atomic structure:
```
data_Sr2Li2NiO4
_chemical_formula_sum 'Sr4 Li4 Ni2 O8'
_space_group_name_H-M_alt 'P -1'
_space_group_IT_number 2
_space_group_name_Hall '-P 1'
_cell_length_a 5.460
_cell_length_b 5.624
_cell_length_c 8.340
_cell_angle_alpha 106.30
_cell_angle_beta 95.78
_cell_angle_gamma 98.65
loop_
_atom_site_label
_atom_site_type_symbol
_atom_site_fract_x
_atom_site_fract_y
_atom_site_fract_z
Sr1 Sr 0.173 0.143 0.195
Sr2 Sr 0.278 0.773 0.527
Li1 Li 0.199 0.620 0.045
Li2 Li 0.414 0.114 0.912
Ni1 Ni 0.291 0.385 0.745
O1 O 0.124 0.263 0.925
O2 O 0.199 0.307 0.496
O3 O 0.346 0.755 0.856
O4 O 0.421 0.803 0.262
```

---

Diffraction record for MgTiZn2WO6. The powder diffractogram is theoretical, not measured: it uses a cell relaxed with GGA+U and Cu Kα (weighted mean of Kα1 and Kα2).
No peak broadening, texture or thermal motion is included.

Largest 8 diffraction maxima, in order of rising 2θ, 2θ from 5° to 70°:
2θ 17.34, I = 78, hkl 0 0 1
2θ 20.16, I = 52, hkl 0 1 0
2θ 22.44, I = 57, hkl 0 1 -1
2θ 30.42, I = 81, hkl 0 1 1
2θ 33.58, I = 79, hkl 1 1 -1
2θ 33.86, I = 75, hkl 1 -2 0
2θ 33.97, I = 73, hkl -2 1 1
2θ 35.04, I = 100, hkl 0 1 -2

Atomic structure:
```
data_MgTiZn2WO6
_chemical_formula_sum 'Mg1 Ti1 Zn2 W1 O6'
_space_group_name_H-M_alt 'P 1'
_space_group_IT_number 1
_space_group_name_Hall 'P 1'
_cell_length_a 5.278
_cell_length_b 5.295
_cell_length_c 5.942
_cell_angle_alpha 90.90
_cell_angle_beta 115.85
_cell_angle_gamma 119.37
loop_
_atom_site_label
_atom_site_type_symbol
_atom_site_fract_x
_atom_site_fract_y
_atom_site_fract_z
Mg1 Mg 0.000 0.000 0.000
Ti1 Ti 0.295 0.641 0.945
Zn1 Zn 0.671 0.833 0.492
Zn2 Zn 0.825 0.414 0.232
W1 W 0.362 0.179 0.546
O1 O 0.151 0.904 0.761
O2 O 0.205 0.785 0.249
O3 O 0.463 0.409 0.253
O4 O 0.512 0.602 0.774
O5 O 0.840 0.055 0.252
O6 O 0.850 0.248 0.773
```

---

Diffraction record for Li3MnSiCO7. The powder diffractogram is theoretical, not measured: it uses a cell relaxed with GGA+U and Cu Kα (weighted mean of Kα1 and Kα2).
No peak broadening, texture or thermal motion is included.

Largest 8 diffraction maxima, in order of rising 2θ, 2θ from 5° to 70°:
2θ 10.37, I = 82, hkl 0 0 1
2θ 17.47, I = 33, hkl 0 1 1
2θ 19.87, I = 37, hkl 1 0 -1
2θ 20.96, I = 47, hkl 1 0 1
2θ 25.30, I = 30, hkl 1 1 1
2θ 26.52, I = 29, hkl 1 0 -2
2θ 28.25, I = 100, hkl 0 2 0
2θ 36.47, I = 26, hkl 2 0 -1

Atomic structure:
```
data_Li3MnSiCO7
_chemical_formula_sum 'Li6 Mn2 Si2 C2 O14'
_space_group_name_H-M_alt 'P 1 21/m 1'
_space_group_IT_number 11
_space_group_name_Hall '-P 2yb'
_cell_length_a 5.064
_cell_length_b 6.317
_cell_length_c 8.545
_cell_angle_alpha 90.00
_cell_angle_beta 93.44
_cell_angle_gamma 90.00
loop_
_atom_site_label
_atom_site_type_symbol
_atom_site_fract_x
_atom_site_fract_y
_atom_site_fract_z
Li1 Li 0.243 0.034 0.217
Li2 Li 0.243 0.750 0.616
Mn1 Mn 0.195 0.250 0.831
Si1 Si 0.287 0.750 0.925
C1 C 0.270 0.250 0.528
O1 O 0.022 0.250 0.552
O2 O 0.172 0.553 0.812
O3 O 0.175 0.750 0.101
O4 O 0.361 0.250 0.389
O5 O 0.389 0.250 0.059
O6 O 0.440 0.250 0.651
```

---

Diffraction record for Li2NbFe3O8. The powder diffractogram is theoretical, not measured: it uses a cell relaxed with GGA+U and Cu Kα (weighted mean of Kα1 and Kα2).
No peak broadening, texture or thermal motion is included.

Largest 8 diffraction maxima, in order of rising 2θ, 2θ from 5° to 70°:
2θ 17.85, I = 100, hkl 1 1 1
2θ 34.57, I = 51, hkl 3 1 1
2θ 36.16, I = 16, hkl 2 2 2
2θ 42.00, I = 55, hkl 4 0 0
2θ 45.97, I = 13, hkl 3 3 1
2θ 55.48, I = 21, hkl 5 1 1
2θ 60.90, I = 34, hkl 4 4 0
2θ 64.01, I = 15, hkl 5 3 1

Atomic structure:
```
data_Li2NbFe3O8
_chemical_formula_sum 'Li8 Nb4 Fe12 O32'
_space_group_name_H-M_alt 'P 43 3 2'
_space_group_IT_number 212
_space_group_name_Hall 'P 4acd 2ab 3'
_cell_length_a 8.606
_cell_length_b 8.606
_cell_length_c 8.606
_cell_angle_alpha 90.00
_cell_angle_beta 90.00
_cell_angle_gamma 90.00
loop_
_atom_site_label
_atom_site_type_symbol
_atom_site_fract_x
_atom_site_fract_y
_atom_site_fract_z
Li1 Li 0.000 0.000 0.000
Nb1 Nb 0.125 0.875 0.375
Fe1 Fe 0.118 0.132 0.625
O1 O 0.111 0.384 0.112
O2 O 0.115 0.615 0.885
```

---

Diffraction record for RbCrO3F. The powder diffractogram is theoretical, not measured: it uses a cell relaxed with GGA+U and Cu Kα (weighted mean of Kα1 and Kα2).
No peak broadening, texture or thermal motion is included.

Largest 8 diffraction maxima, in order of rising 2θ, 2θ from 5° to 70°:
2θ 24.96, I = 40, hkl 2 0 0
2θ 25.25, I = 100, hkl 1 0 2
2θ 28.23, I = 47, hkl 1 2 1
2θ 34.22, I = 14, hkl 1 2 2
2θ 35.81, I = 33, hkl 2 2 1
2θ 42.55, I = 12, hkl 1 2 3
2θ 46.03, I = 14, hkl 3 2 1
2θ 53.55, I = 12, hkl 1 4 2

Atomic structure:
```
data_RbCrO3F
_chemical_formula_sum 'Rb4 Cr4 O12 F4'
_space_group_name_H-M_alt 'P 21 21 21'
_space_group_IT_number 19
_space_group_name_Hall 'P 2ac 2ab'
_cell_length_a 7.135
_cell_length_b 7.829
_cell_length_c 8.116
_cell_angle_alpha 90.00
_cell_angle_beta 90.00
_cell_angle_gamma 90.00
loop_
_atom_site_label
_atom_site_type_symbol
_atom_site_fract_x
_atom_site_fract_y
_atom_site_fract_z
Rb1 Rb 0.250 0.102 0.129
Cr1 Cr 0.245 0.398 0.620
O1 O 0.060 0.520 0.614
O2 O 0.244 0.267 0.466
O3 O 0.246 0.291 0.792
F1 F 0.049 0.468 0.114
```

---

Diffraction record for RbInMo2O8. The powder diffractogram is theoretical, not measured: it uses a cell relaxed with GGA+U and Cu Kα (weighted mean of Kα1 and Kα2).
No peak broadening, texture or thermal motion is included.

Largest 8 diffraction maxima, in order of rising 2θ, 2θ from 5° to 70°:
2θ 17.22, I = 19, hkl 1 0 0
2θ 20.60, I = 100, hkl 0 1 1
2θ 28.51, I = 78, hkl 0 1 2
2θ 30.05, I = 70, hkl 1 1 0
2θ 41.90, I = 34, hkl 0 2 2
2θ 48.15, I = 19, hkl 1 2 1
2θ 52.42, I = 28, hkl 1 2 2
2θ 55.96, I = 25, hkl 1 1 4

Atomic structure:
```
data_RbInMo2O8
_chemical_formula_sum 'Rb1 In1 Mo2 O8'
_space_group_name_H-M_alt 'P -3 m 1'
_space_group_IT_number 164
_space_group_name_Hall '-P 3 2"'
_cell_length_a 5.9471
_cell_length_b 5.9471
_cell_length_c 7.8865
_cell_angle_alpha 90.00
_cell_angle_beta 90.00
_cell_angle_gamma 120.00
loop_
_atom_site_label
_atom_site_type_symbol
_atom_site_fract_x
_atom_site_fract_y
_atom_site_fract_z
Rb1 Rb 0.0000 0.0000 0.0000
In1 In 0.0000 0.0000 0.5000
Mo1 Mo 0.3333 0.6667 0.7368
O1 O 0.1660 0.3320 0.6669
O2 O 0.3333 0.6667 0.9585
```

---

Diffraction record for Li4VO3F2. The powder diffractogram is theoretical, not measured: it uses a cell relaxed with GGA+U and Cu Kα (weighted mean of Kα1 and Kα2).
No peak broadening, texture or thermal motion is included.

Largest 8 diffraction maxima, in order of rising 2θ, 2θ from 5° to 70°:
2θ 18.39, I = 100, hkl 0 1 0
2θ 18.75, I = 41, hkl 1 0 0
2θ 22.60, I = 29, hkl 1 -1 0
2θ 25.82, I = 23, hkl 0 0 2
2θ 42.69, I = 61, hkl 1 -2 2
2θ 42.79, I = 58, hkl 2 1 -1
2θ 44.70, I = 49, hkl -1 1 3
2θ 63.60, I = 26, hkl 1 2 2

Atomic structure:
```
data_Li4VO3F2
_chemical_formula_sum 'Li8 V2 O6 F4'
_space_group_name_H-M_alt 'P 1'
_space_group_IT_number 1
_space_group_name_Hall 'P 1'
_cell_length_a 5.162
_cell_length_b 5.164
_cell_length_c 7.663
_cell_angle_alpha 104.36
_cell_angle_beta 108.16
_cell_angle_gamma 99.42
loop_
_atom_site_label
_atom_site_type_symbol
_atom_site_fract_x
_atom_site_fract_y
_atom_site_fract_z
Li1 Li 0.000 0.000 0.000
Li2 Li 0.015 0.478 0.500
Li3 Li 0.215 0.011 0.394
Li4 Li 0.230 0.506 0.903
Li5 Li 0.395 0.520 0.292
Li6 Li 0.586 0.506 0.679
Li7 Li 0.810 0.024 0.582
Li8 Li 0.829 0.545 0.093
V1 V 0.393 0.013 0.773
V2 V 0.557 0.015 0.182
O1 O 0.216 0.245 0.655
O2 O 0.219 0.772 0.142
O3 O 0.395 0.231 0.026
O4 O 0.410 0.774 0.567
O5 O 0.605 0.804 0.956
O6 O 0.612 0.250 0.417
F1 F 0.009 0.768 0.732
F2 F 0.781 0.265 0.834
F3 F 0.787 0.774 0.329
F4 F 0.996 0.274 0.239
```